Entry 1:
Diffraction record for NbZnRh2C. The powder XRD pattern is calculated, not measured: it uses DFT lattice parameters and positions (GGA-PBE) and Cu Kα X-rays.

```
data_NbZnRh2C
_cell_length_a 4.685
_cell_length_b 4.685
_cell_length_c 5.097
_cell_angle_alpha 90.00
_cell_angle_beta 90.00
_cell_angle_gamma 90.00
_space_group_name_H-M_alt 'P 4/m m m'
_space_group_IT_number 123
_space_group_name_Hall '-P 4 2'
loop_
_atom_site_label
_atom_site_type_symbol
_atom_site_fract_x
_atom_site_fract_y
_atom_site_fract_z
_atom_site_occupancy
Nb1 Nb 0.000 0.000 0.000 1
Zn1 Zn 0.000 0.000 0.500 1
Rh1 Rh 0.000 0.500 0.000 1
C1 C 0.500 0.500 0.500 1
```

Most intense lines, 10 to 90 degrees two-theta, sorted by position:
2θ/deg	Rel. int.	index
17.40	100	0 0 1
18.94	78	1 0 0
32.23	67	1 1 1
35.21	51	0 0 2
38.43	79	2 0 0
40.28	23	1 0 2
42.47	40	2 0 1
43.18	19	2 1 0
53.10	60	2 0 2
55.48	26	2 2 0
56.89	16	2 1 2
67.44	29	2 2 2

***

Entry 2:
Diffraction record for Dy6Er19Tm4. The powder XRD pattern is calculated, not measured: it uses DFT lattice parameters and positions (GGA-PBE) and Cu Kα X-rays.

```
data_Dy6Er19Tm4
_cell_length_a 12.290
_cell_length_b 12.290
_cell_length_c 12.290
_cell_angle_alpha 90.00
_cell_angle_beta 90.00
_cell_angle_gamma 90.00
_space_group_name_H-M_alt 'I 2 3'
_space_group_IT_number 197
_space_group_name_Hall 'I 2 2 3'
loop_
_atom_site_label
_atom_site_type_symbol
_atom_site_fract_x
_atom_site_fract_y
_atom_site_fract_z
_atom_site_occupancy
Dy1 Dy 0.000 0.128 0.500 1
Er1 Er 0.000 0.000 0.000 1
Er2 Er 0.000 0.000 0.261 1
Er3 Er 0.064 0.277 0.740 1
Tm1 Tm 0.179 0.179 0.179 1
```

Most intense lines, 10 to 90 degrees two-theta, sorted by position:
2θ/deg	Rel. int.	index
27.15	48	3 2 1
29.06	58	4 0 0
30.87	100	4 1 1
34.22	18	3 3 2
35.79	45	4 2 2
37.31	71	4 3 1
42.91	19	4 3 3
50.36	17	6 1 3
52.66	18	5 4 3
54.90	25	6 3 3
61.27	27	7 4 1
62.30	20	8 2 0

***

Entry 3:
Diffraction record for Th2NbTe2Cl4. The powder XRD pattern is calculated, not measured: it uses DFT lattice parameters and positions (GGA-PBE) and Cu Kα X-rays.

```
data_Th2NbTe2Cl4
_cell_length_a 3.7333
_cell_length_b 3.7333
_cell_length_c 23.3528
_cell_angle_alpha 90.00
_cell_angle_beta 90.00
_cell_angle_gamma 120.00
_space_group_name_H-M_alt 'P 3 m 1'
_space_group_IT_number 156
_space_group_name_Hall 'P 3 -2"'
loop_
_atom_site_label
_atom_site_type_symbol
_atom_site_fract_x
_atom_site_fract_y
_atom_site_fract_z
_atom_site_occupancy
Th1 Th 0.0000 0.0000 0.0000 1
Th2 Th 0.3333 0.6667 0.3261 1
Nb1 Nb 0.3333 0.6667 0.6724 1
Te1 Te 0.0000 0.0000 0.5939 1
Te2 Te 0.0000 0.0000 0.7509 1
Cl1 Cl 0.0000 0.0000 0.2427 1
Cl2 Cl 0.0000 0.0000 0.4089 1
Cl3 Cl 0.3333 0.6667 0.0833 1
Cl4 Cl 0.3333 0.6667 0.9174 1
```

Most intense lines, 10 to 90 degrees two-theta, sorted by position:
2θ/deg	Rel. int.	index
11.37	100	0 0 3
27.59	30	1 0 0
27.86	17	1 0 1
28.65	18	1 0 2
29.93	17	1 0 3
31.63	25	0 1 4
33.72	51	1 0 5
38.79	17	0 1 7
41.69	27	1 0 8
48.79	23	1 1 0
50.26	16	1 1 3
69.82	12	1 1 12

***

> Which formula does entry 3 have?

Th2NbTe2Cl4